[1]
Starting from DFT lattice parameters and positions (GGA-PBE), the powder diffraction line list of Tl5GaTe4 was simulated for Cu Kα (λ = 1.5418 Å).
Lines closer than 0.1° are merged.

Top 12 peaks for 2θ = 10–90°, low angle first:
2θ = 22.7°, I = 63, (2 0 1); 2θ = 22.9°, I = 20, (0 0 2); 2θ = 26.9°, I = 100, (0 3 1); 2θ = 28.6°, I = 22, (1 3 1); 2θ = 30.3°, I = 69, (2 0 2); 2θ = 31.7°, I = 34, (3 0 1); 2θ = 33.4°, I = 28, (2 3 1); 2θ = 35.0°, I = 26, (1 3 2); 2θ = 35.8°, I = 26, (3 2 1); 2θ = 38.5°, I = 36, (3 3 0); 2θ = 39.1°, I = 33, (2 3 2); 2θ = 47.4°, I = 34, (2 3 3)

Crystal structure
a b c (Å): 9.084 11.014 7.778
angles (deg): 90.00 90.00 90.00
Space group Pmmn (No. 59, origin choice 2)
Unique sites:
Tl 0.052 0.053 0.225 (multiplicity 8)
Tl 0.250 0.250 0.546 (multiplicity 2)
Ga 0.250 0.750 0.355 (multiplicity 2)
Te 0.007 0.750 0.164 (multiplicity 4)
Te 0.250 0.558 0.564 (multiplicity 4)

***

[2]
Starting from DFT lattice parameters and positions (GGA-PBE), the powder diffraction line list of Tm6Ga3Te was simulated for Cu Kα (λ = 1.5418 Å).
Lines closer than 0.1° are merged.

Top 12 peaks for 2θ = 10–90°, low angle first:
2θ = 24.5°, I = 33, (0 0 2); 2θ = 26.4°, I = 21, (3 1 0); 2θ = 29.2°, I = 49, (3 1 1); 2θ = 32.3°, I = 47, (1 3 2); 2θ = 32.6°, I = 87, (2 2 2); 2θ = 33.1°, I = 100, (2 4 1); 2θ = 34.4°, I = 60, (4 0 0); 2θ = 35.5°, I = 33, (0 4 2); 2θ = 36.3°, I = 24, (3 1 2); 2θ = 46.1°, I = 31, (1 7 0); 2θ = 54.4°, I = 30, (0 6 3); 2θ = 56.7°, I = 29, (2 8 1)

Crystal structure
a b c (Å): 10.427 14.054 7.281
angles (deg): 90.00 90.00 90.00
Space group Cmc2_1 (No. 36)
Unique sites:
Tm 0.000 0.015 0.000 (multiplicity 4)
Tm 0.000 0.285 0.908 (multiplicity 4)
Tm 0.192 0.291 0.500 (multiplicity 8)
Tm 0.206 0.462 0.866 (multiplicity 8)
Ga 0.000 0.443 0.595 (multiplicity 4)
Ga 0.146 0.122 0.719 (multiplicity 8)
Te 0.000 0.174 0.267 (multiplicity 4)

***

[3]
Starting from DFT lattice parameters and positions (GGA-PBE), the powder diffraction line list of Tm4GaTe was simulated for Cu Kα (λ = 1.5418 Å).
Lines closer than 0.1° are merged.

Top 12 peaks for 2θ = 10–90°, low angle first:
2θ = 21.0°, I = 14, (0 2 0); 2θ = 24.8°, I = 24, (1 0 -2); 2θ = 26.5°, I = 39, (1 2 0); 2θ = 32.2°, I = 18, (2 0 0); 2θ = 32.5°, I = 100, (0 2 2); 2θ = 33.3°, I = 28, (1 0 2); 2θ = 34.1°, I = 17, (0 3 1); 2θ = 36.1°, I = 15, (1 3 -1); 2θ = 39.5°, I = 17, (2 1 1); 2θ = 40.4°, I = 25, (2 2 -2); 2θ = 42.7°, I = 14, (0 4 0); 2θ = 50.3°, I = 21, (2 3 1)

Crystal structure
a b c (Å): 5.843 8.463 7.638
angles (deg): 90.00 107.79 90.00
Space group P2_1/m (No. 11)
Unique sites:
Tm 0.034 0.051 0.239 (multiplicity 4)
Tm 0.409 0.250 0.014 (multiplicity 2)
Tm 0.435 0.750 0.483 (multiplicity 2)
Ga 0.147 0.750 0.074 (multiplicity 2)
Te 0.098 0.250 0.589 (multiplicity 2)